Entry 1:
Simulated powder diffraction line list of LiCd5Hg12 for Cu Ka, from a DFT-relaxed cell (PBE, Alexandria).
Lines closer than 0.1° are merged.

The 6 most intense peaks (10 to 80 degrees two-theta), in order of falling intensity:
2theta  Rel. int.  index
30.44  100  1 3 -2
31.69  55  2 0 1
36.10  55  1 3 3
33.50  54  1 3 -3
40.04  43  0 0 6
51.81  42  3 3 -1

Cell and atoms:
Cell lengths 6.024, 11.092, 13.659 Å; angles 90.00, 98.45, 90.00 degrees
Space group C2/m (No. 12)
Symmetry-distinct sites (fractional):
Li1 0.000 0.000 0.000
Cd1 0.000 0.193 0.500
Cd2 0.000 0.317 0.000
Cd3 0.000 0.500 0.500
Hg1 0.091 0.000 0.347
Hg2 0.119 0.340 0.324
Hg3 0.204 0.150 0.165
Hg4 0.219 0.500 0.148

=====

Entry 2:
Simulated powder diffraction line list of Na7VSe6 for Cu Ka, from a DFT-relaxed cell (PBE, Alexandria).
Lines closer than 0.1° are merged.

The 6 most intense peaks (10 to 80 degrees two-theta), in order of falling intensity:
2theta  Rel. int.  index
24.14  100  1 2 3
17.39  55  1 1 2
16.95  35  0 2 2
29.11  32  1 4 1
37.36  27  2 1 5
35.15  26  2 3 3

Cell and atoms:
Cell lengths 7.497, 13.749, 16.123 Å; angles 90.00, 90.00, 90.00 degrees
Space group Ibam (No. 72)
Symmetry-distinct sites (fractional):
Na1 0.000 0.000 0.250
Na2 0.118 0.279 0.108
Na3 0.207 0.038 0.000
V1 0.000 0.500 0.250
Se1 0.103 0.161 0.500
Se2 0.182 0.402 0.329